Structure and theoretical XRD peak list of Ta3Nb4W4 (the PBE geometry in Alexandria; a wavelength of 1.5418 Å).
No peak broadening, texture or thermal motion is included.

Crystal structure
a = 2.840 Å, b = 4.596 Å, c = 14.814 Å
α = 81.21°, β = 86.68°, γ = 89.90°
Fractional positions:
1 Ta 0.000 0.000 0.000
2 Ta 0.086 0.638 0.725
3 Ta 0.914 0.362 0.275
4 Nb 0.376 0.547 0.907
5 Nb 0.461 0.183 0.634
6 Nb 0.539 0.817 0.366
7 Nb 0.624 0.453 0.093
8 W 0.182 0.272 0.456
9 W 0.280 0.908 0.184
10 W 0.720 0.092 0.816
11 W 0.818 0.728 0.544

Top 6 peaks for 15° ≤ 2θ ≤ 90°, by angle:
38.89°, I = 100; 39.09°, I = 98; 39.20°, I = 98; 56.54°, I = 34; 70.48°, I = 17; 70.95°, I = 34